This entry pairs a crystal structure of Li4Mn3Sn3Te2O16 with its simulated XRD peak list. Radiation: λ = 1.5418 Å (Cu Kα). Structure: a structure optimized by DFT (PBE+U).

Atomic structure:
abc: 6.2804 6.2804 10.3359
angles: 90.50 90.50 59.99
Fractional coordinates of all 28 atoms:
Li  0.0000  0.0000  0.0000
Li  0.0011  0.0011  0.4925
Li  0.3216  0.3216  0.0896
Li  0.6624  0.6624  0.5800
Mn  0.1649  0.1649  0.7773
Mn  0.3285  0.8287  0.2754
Mn  0.8287  0.3285  0.2754
Sn  0.1664  0.6625  0.7720
Sn  0.6625  0.1664  0.7720
Sn  0.8264  0.8264  0.2720
Te  0.3193  0.3193  0.5006
Te  0.6387  0.6387  0.0039
O  0.0060  0.0060  0.1815
O  0.0404  0.4878  0.6358
O  0.1532  0.6988  0.3775
O  0.1618  0.1618  0.4110
O  0.3144  0.8236  0.8994
O  0.3335  0.3335  0.8790
O  0.4878  0.0404  0.6358
O  0.4932  0.4932  0.6656
O  0.4964  0.9605  0.1644
O  0.5064  0.5064  0.1281
O  0.6518  0.6518  0.3721
O  0.6988  0.1532  0.3775
O  0.8236  0.3144  0.8994
O  0.8475  0.8475  0.8785
O  0.9605  0.4964  0.1644
O  0.9980  0.9980  0.6725

Most intense lines, 2θ = 10–80°, by angle:
- 17.16°, I = 363
- 18.38°, I = 1000
- 18.48°, I = 310
- 23.67°, I = 314
- 23.84°, I = 292
- 30.82°, I = 379
- 33.26°, I = 260
- 34.04°, I = 272
- 34.15°, I = 462
- 58.82°, I = 378

***

This entry pairs a crystal structure of Li4Ti2Mn3Sn3O16 with its simulated XRD peak list. Radiation: λ = 1.5418 Å (Cu Kα). Structure: a structure optimized by DFT (PBE+U).

Atomic structure:
abc: 6.1707 6.1707 9.7375
angles: 90.85 90.85 59.89
Fractional coordinates of all 28 atoms:
Li  0.0000  0.0000  0.0000
Li  0.0052  0.0052  0.4886
Li  0.3163  0.3163  0.3970
Li  0.6598  0.6598  0.8983
Ti  0.3201  0.3201  0.9993
Ti  0.6424  0.6424  0.4823
Mn  0.1665  0.1665  0.7196
Mn  0.3304  0.8184  0.2121
Mn  0.8184  0.3304  0.2121
Sn  0.1629  0.6583  0.7116
Sn  0.6583  0.1629  0.7116
Sn  0.8196  0.8196  0.2159
O  0.0406  0.4643  0.8396
O  0.1530  0.6552  0.0912
O  0.1715  0.1715  0.0838
O  0.3258  0.8417  0.6000
O  0.3334  0.3334  0.5955
O  0.4643  0.0406  0.8396
O  0.4781  0.4781  0.8426
O  0.5087  0.5087  0.3663
O  0.5132  0.9463  0.3484
O  0.6531  0.6531  0.1048
O  0.6552  0.1530  0.0912
O  0.8348  0.8348  0.5921
O  0.8417  0.3258  0.6000
O  0.9463  0.5132  0.3484
O  0.9906  0.9906  0.8170
O  0.9960  0.9960  0.3019

Most intense lines, 2θ = 10–80°, by angle:
- 18.22°, I = 1000
- 18.87°, I = 354
- 19.05°, I = 702
- 34.65°, I = 359
- 34.78°, I = 332
- 34.94°, I = 437
- 38.63°, I = 230
- 43.73°, I = 240
- 44.12°, I = 296
- 59.97°, I = 298

***

This entry pairs a crystal structure of Li4Mn3V3Sn2O16 with its simulated XRD peak list. Radiation: λ = 1.5418 Å (Cu Kα). Structure: a structure optimized by DFT (PBE+U).

Atomic structure:
abc: 5.9132 6.0109 9.8497
angles: 91.21 90.60 118.61
Fractional coordinates of all 28 atoms:
Li  0.0000  0.0000  0.0000
Li  0.0057  0.9843  0.4998
Li  0.3254  0.6507  0.9072
Li  0.6536  0.2997  0.4052
Mn  0.1642  0.8162  0.2213
Mn  0.6554  0.8098  0.2227
Mn  0.8270  0.6494  0.7215
V  0.1592  0.3222  0.2239
V  0.3419  0.1500  0.7221
V  0.8302  0.1578  0.7229
Sn  0.3363  0.6394  0.4991
Sn  0.6659  0.3349  0.9971
O  0.0051  0.9834  0.8131
O  0.0243  0.4659  0.3497
O  0.1701  0.3042  0.6125
O  0.1852  0.8365  0.6037
O  0.3264  0.1835  0.1104
O  0.3269  0.6504  0.1214
O  0.4670  0.4755  0.3530
O  0.4703  0.9334  0.3469
O  0.4868  0.4491  0.8515
O  0.5040  0.0202  0.8457
O  0.6564  0.3236  0.6180
O  0.6864  0.8265  0.6056
O  0.8439  0.1713  0.1057
O  0.8449  0.6835  0.1028
O  0.9582  0.4692  0.8443
O  0.9945  0.9825  0.3124

Most intense lines, 2θ = 10–80°, by angle:
- 18.85°, I = 308
- 19.15°, I = 347
- 19.33°, I = 292
- 19.52°, I = 1000
- 25.13°, I = 188
- 32.52°, I = 250
- 34.17°, I = 191
- 34.98°, I = 202
- 35.21°, I = 337
- 35.55°, I = 383

***

This entry pairs a crystal structure of Li3Mn3TeO8 with its simulated XRD peak list. Radiation: λ = 1.5418 Å (Cu Kα). Structure: a structure optimized by DFT (PBE+U).

Atomic structure:
abc: 6.2734 6.2750 10.4253
angles: 74.29 74.21 61.00
Fractional coordinates of all 30 atoms:
Li  0.0000  0.0000  0.0000
Li  0.0122  0.4629  0.0117
Li  0.0429  0.9544  0.4999
Li  0.4754  0.4755  0.0238
Li  0.5058  0.9665  0.5119
Li  0.5175  0.4299  0.5236
Mn  0.2592  0.2150  0.7619
Mn  0.2591  0.7141  0.2621
Mn  0.2596  0.2138  0.2618
Mn  0.7594  0.2153  0.7614
Mn  0.7594  0.7152  0.7615
Mn  0.7596  0.7142  0.2620
Te  0.2592  0.7150  0.7618
Te  0.7593  0.2144  0.2619
O  0.0954  0.1121  0.1533
O  0.1442  0.5415  0.1582
O  0.1445  0.6193  0.6409
O  0.1583  0.0516  0.6542
O  0.3603  0.3783  0.8693
O  0.3741  0.8106  0.8827
O  0.3745  0.8870  0.3655
O  0.4232  0.3165  0.3705
O  0.5854  0.6046  0.6487
O  0.5872  0.1005  0.6583
O  0.6482  0.5405  0.1493
O  0.6609  0.1005  0.1418
O  0.8578  0.3282  0.3821
O  0.8703  0.8884  0.3746
O  0.9313  0.3297  0.8652
O  0.9329  0.8256  0.8747

Most intense lines, 2θ = 10–80°, by angle:
- 17.31°, I = 273
- 17.93°, I = 1000
- 33.11°, I = 336
- 33.92°, I = 165
- 35.01°, I = 143
- 40.57°, I = 461
- 42.00°, I = 216
- 45.39°, I = 124
- 58.91°, I = 130
- 60.72°, I = 119

***

This entry pairs a crystal structure of Li3Mn3TeO8 with its simulated XRD peak list. Radiation: λ = 1.5418 Å (Cu Kα). Structure: a structure optimized by DFT (PBE+U).

Atomic structure:
abc: 6.1604 6.3267 8.6843
angles: 89.94 88.00 89.97
Fractional coordinates of all 30 atoms:
Li  0.0000  0.0000  0.0000
Li  0.0000  0.5000  0.0000
Li  0.2495  0.2422  0.2501
Li  0.5000  0.0000  0.5000
Li  0.5000  0.5000  0.5000
Li  0.7505  0.7578  0.7499
Mn  0.0000  0.0000  0.5000
Mn  0.0000  0.5000  0.5000
Mn  0.2534  0.2505  0.7501
Mn  0.5000  0.0000  0.0000
Mn  0.5000  0.5000  0.0000
Mn  0.7466  0.7495  0.2499
Te  0.2504  0.7483  0.7498
Te  0.7496  0.2517  0.2502
O  0.0255  0.9689  0.7419
O  0.0266  0.5301  0.7560
O  0.2126  0.2237  0.5047
O  0.2395  0.7509  0.9749
O  0.2619  0.7504  0.5249
O  0.2871  0.2243  0.9958
O  0.4749  0.5300  0.7438
O  0.4764  0.9681  0.7576
O  0.5236  0.0319  0.2424
O  0.5251  0.4700  0.2562
O  0.7129  0.7757  0.0042
O  0.7381  0.2496  0.4751
O  0.7605  0.2491  0.0251
O  0.7874  0.7763  0.4953
O  0.9734  0.4699  0.2440
O  0.9745  0.0311  0.2581

Most intense lines, 2θ = 10–80°, by angle:
- 17.35°, I = 272
- 17.95°, I = 1000
- 33.32°, I = 332
- 33.77°, I = 167
- 35.12°, I = 200
- 40.91°, I = 458
- 41.62°, I = 223
- 45.32°, I = 114
- 58.95°, I = 132
- 60.60°, I = 121

***

This entry pairs a crystal structure of Li3Mn3TeO8 with its simulated XRD peak list. Radiation: λ = 1.5418 Å (Cu Kα). Structure: a structure optimized by DFT (PBE+U).

Atomic structure:
abc: 6.1522 6.2721 8.8307
angles: 90.00 92.28 90.00
Fractional coordinates of all 30 atoms:
Li  0.0107  0.0000  0.4977
Li  0.2467  0.7578  0.2577
Li  0.4880  0.5238  0.0023
Li  0.5120  0.0238  0.9977
Li  0.7533  0.2578  0.7423
Li  0.9893  0.5000  0.5023
Mn  0.0065  0.0119  0.0055
Mn  0.2492  0.7615  0.7491
Mn  0.4958  0.5105  0.4956
Mn  0.5042  0.0105  0.5044
Mn  0.7508  0.2615  0.2509
Mn  0.9935  0.5119  0.9945
Te  0.2506  0.2615  0.7499
Te  0.7494  0.7615  0.2501
O  0.0099  0.4651  0.7451
O  0.0413  0.0217  0.7456
O  0.2363  0.7581  0.9670
O  0.2457  0.2608  0.5293
O  0.2549  0.2621  0.9703
O  0.2620  0.7640  0.5297
O  0.4585  0.5023  0.7534
O  0.4906  0.0575  0.7541
O  0.5094  0.5575  0.2459
O  0.5415  0.0023  0.2466
O  0.7380  0.2640  0.4703
O  0.7451  0.7621  0.0297
O  0.7543  0.7608  0.4707
O  0.7637  0.2581  0.0330
O  0.9587  0.5217  0.2544
O  0.9901  0.9651  0.2549

Most intense lines, 2θ = 10–80°, by angle:
- 17.31°, I = 274
- 17.91°, I = 1000
- 33.24°, I = 153
- 33.47°, I = 344
- 35.11°, I = 134
- 40.91°, I = 220
- 41.12°, I = 451
- 58.47°, I = 130
- 60.32°, I = 116
- 61.67°, I = 126

***

This entry pairs a crystal structure of Li3Mn3TeO8 with its simulated XRD peak list. Radiation: λ = 1.5418 Å (Cu Kα). Structure: a structure optimized by DFT (PBE+U).

Atomic structure:
abc: 6.1271 6.1271 6.1386
angles: 118.17 118.17 61.46
Fractional coordinates of all 15 atoms:
Li  0.0000  0.0000  0.0000
Li  0.4983  0.0007  0.5002
Li  0.9993  0.5017  0.4998
Mn  0.4972  0.0081  0.0023
Mn  0.4977  0.5023  0.5000
Mn  0.9919  0.5028  0.9977
Te  0.9983  0.0017  0.5000
O  0.2165  0.7752  0.7215
O  0.2179  0.2244  0.7178
O  0.2248  0.7835  0.2785
O  0.2771  0.2859  0.2707
O  0.7141  0.7229  0.7293
O  0.7691  0.2201  0.7194
O  0.7756  0.7821  0.2822
O  0.7799  0.2309  0.2806

Most intense lines, 2θ = 10–80°, by angle:
- 17.34°, I = 273
- 17.96°, I = 1000
- 33.31°, I = 154
- 33.53°, I = 346
- 35.18°, I = 132
- 41.01°, I = 222
- 41.20°, I = 461
- 58.59°, I = 133
- 60.48°, I = 119
- 61.80°, I = 127

***

This entry pairs a crystal structure of LiMn2TeO6 with its simulated XRD peak list. Radiation: λ = 1.5418 Å (Cu Kα). Structure: a structure optimized by DFT (PBE+U).

Atomic structure:
abc: 5.1397 5.1836 8.7133
angles: 90.00 87.81 88.67
Fractional coordinates of all 20 atoms:
Li  0.0000  0.0000  0.0000
Li  0.0576  0.6080  0.7165
Mn  0.0005  0.5094  0.2185
Mn  0.5010  0.0319  0.1439
Mn  0.5070  0.4884  0.5116
Mn  0.5095  0.9978  0.7250
Te  0.0054  0.9980  0.4153
Te  0.5025  0.5065  0.9122
O  0.1887  0.8273  0.2315
O  0.2285  0.8210  0.5572
O  0.2360  0.2805  0.3879
O  0.2541  0.3499  0.0598
O  0.2752  0.8091  0.8809
O  0.3252  0.3319  0.7400
O  0.6962  0.6715  0.7353
O  0.7030  0.1919  0.9202
O  0.7062  0.6839  0.0580
O  0.7602  0.1483  0.5678
O  0.7896  0.6945  0.3844
O  0.8081  0.1893  0.2545

Most intense lines, 2θ = 10–80°, by angle:
- 19.73°, I = 902
- 19.94°, I = 561
- 20.41°, I = 1000
- 31.35°, I = 599
- 31.79°, I = 556
- 32.22°, I = 495
- 32.68°, I = 500
- 34.62°, I = 309
- 35.45°, I = 431
- 49.40°, I = 439